Entry 1:
# NaPrZnSe3
Computed powder XRD pattern, Cu Ka. Input: a cell relaxed with PBE.
Kinematic intensities with the Lorentz-polarization factor, no thermal factor.

Atomic structure:
a b c (Å): 11.7964 4.2269 12.2978
angles (deg): 90.00 90.00 90.00
Element x y z (fractional)
Na  0.1637  0.2500  0.0000
Na  0.3363  0.7500  0.5000
Na  0.6637  0.2500  0.5000
Na  0.8363  0.7500  0.0000
Pr  0.0250  0.2500  0.3212
Pr  0.4750  0.7500  0.8212
Pr  0.5250  0.2500  0.1788
Pr  0.9750  0.7500  0.6788
Zn  0.2483  0.2500  0.7095
Zn  0.2517  0.7500  0.2095
Zn  0.7483  0.2500  0.7905
Zn  0.7517  0.7500  0.2905
Se  0.0545  0.7500  0.1494
Se  0.1081  0.2500  0.5621
Se  0.2119  0.7500  0.8176
Se  0.2881  0.2500  0.3176
Se  0.3919  0.7500  0.0621
Se  0.4455  0.2500  0.6494
Se  0.5545  0.7500  0.3506
Se  0.6081  0.2500  0.9379
Se  0.7119  0.7500  0.6824
Se  0.7881  0.2500  0.1824
Se  0.8919  0.7500  0.4379
Se  0.9455  0.2500  0.8506

Peak list (10 most intense, 15° ≤ 2θ ≤ 90°, in order of rising 2θ)
3.786 Å, 2θ 23.50, rel. 66
3.341 Å, 2θ 26.68, rel. 71
2.946 Å, 2θ 30.34, rel. 40
2.868 Å, 2θ 31.19, rel. 55
2.855 Å, 2θ 31.33, rel. 92
2.659 Å, 2θ 33.71, rel. 70
2.607 Å, 2θ 34.40, rel. 100
2.433 Å, 2θ 36.95, rel. 98
2.113 Å, 2θ 42.79, rel. 74
1.841 Å, 2θ 49.52, rel. 49

---

Entry 2:
# Sm4CIBr2F2
Computed powder XRD pattern, Cu Ka. Input: a cell relaxed with PBE.
Kinematic intensities with the Lorentz-polarization factor, no thermal factor.

Atomic structure:
a b c (Å): 8.8081 8.8081 8.5272
angles (deg): 99.00 99.00 25.14
Element x y z (fractional)
Sm  0.0004  0.0004  0.1967
Sm  0.9996  0.9996  0.8033
Sm  0.3572  0.3572  0.9314
Sm  0.6428  0.6428  0.0686
C  0.5000  0.5000  0.0000
I  0.5000  0.5000  0.5000
Br  0.1748  0.1748  0.8187
Br  0.8252  0.8252  0.1813
F  0.1433  0.1433  0.2340
F  0.8567  0.8567  0.7660

Peak list (10 most intense, 15° ≤ 2θ ≤ 90°, in order of rising 2θ)
3.062 Å, 2θ 29.16, rel. 24
2.885 Å, 2θ 30.99, rel. 23
2.846 Å, 2θ 31.43, rel. 100
2.829 Å, 2θ 31.63, rel. 44
2.544 Å, 2θ 35.29, rel. 33
2.518 Å, 2θ 35.65, rel. 26
2.123 Å, 2θ 42.59, rel. 20
2.068 Å, 2θ 43.77, rel. 27
1.949 Å, 2θ 46.59, rel. 25
1.917 Å, 2θ 47.42, rel. 19

---

Entry 3:
# Gd10S19
Computed powder XRD pattern, Cu Ka. Input: a cell relaxed with PBE.
Kinematic intensities with the Lorentz-polarization factor, no thermal factor.

Atomic structure:
a b c (Å): 8.7241 8.7241 15.8865
angles (deg): 90.00 90.00 90.00
Element x y z (fractional)
Gd  0.0411  0.3481  0.1216
Gd  0.0547  0.3545  0.6038
Gd  0.1455  0.0547  0.8962
Gd  0.1519  0.0411  0.3784
Gd  0.2500  0.7500  0.1154
Gd  0.2500  0.7500  0.6154
Gd  0.3481  0.4589  0.3784
Gd  0.3545  0.4453  0.8962
Gd  0.4453  0.1455  0.6038
Gd  0.4589  0.1519  0.1216
Gd  0.5411  0.8481  0.8784
Gd  0.5547  0.8545  0.3962
Gd  0.6455  0.5547  0.1038
Gd  0.6519  0.5411  0.6216
Gd  0.7500  0.2500  0.3846
Gd  0.7500  0.2500  0.8846
Gd  0.8481  0.9589  0.6216
Gd  0.8545  0.9453  0.1038
Gd  0.9453  0.6455  0.3962
Gd  0.9589  0.6519  0.8784
S  0.0300  0.8078  0.2493
S  0.0490  0.3479  0.4276
S  0.0532  0.3514  0.9379
S  0.0725  0.8864  0.7502
S  0.1136  0.5725  0.2502
S  0.1486  0.0532  0.5621
S  0.1521  0.0490  0.0724
S  0.1922  0.5300  0.7493
S  0.2500  0.2500  0.2500
S  0.2500  0.7500  0.4352
S  0.2500  0.7500  0.9352
S  0.3078  0.9700  0.7493
S  0.3479  0.4510  0.0724
S  0.3514  0.4468  0.5621
S  0.3864  0.9275  0.2502
S  0.4275  0.6136  0.7502
S  0.4468  0.1486  0.9379
S  0.4510  0.1521  0.4276
S  0.4700  0.6922  0.2493
S  0.5300  0.3078  0.7507
S  0.5490  0.8479  0.5724
S  0.5532  0.8514  0.0621
S  0.5725  0.3864  0.2498
S  0.6136  0.0725  0.7498
S  0.6486  0.5532  0.4379
S  0.6521  0.5490  0.9276
S  0.6922  0.0300  0.2507
S  0.7500  0.2500  0.0648
S  0.7500  0.2500  0.5648
S  0.7500  0.7500  0.7500
S  0.8078  0.4700  0.2507
S  0.8479  0.9510  0.9276
S  0.8514  0.9468  0.4379
S  0.8864  0.4275  0.7498
S  0.9275  0.1136  0.2498
S  0.9468  0.6486  0.0621
S  0.9510  0.6521  0.5724
S  0.9700  0.1922  0.7507

Peak list (10 most intense, 15° ≤ 2θ ≤ 90°, in order of rising 2θ)
3.972 Å, 2θ 22.39, rel. 29
3.502 Å, 2θ 25.43, rel. 100
2.759 Å, 2θ 32.45, rel. 45
2.606 Å, 2θ 34.41, rel. 14
2.266 Å, 2θ 39.78, rel. 57
2.191 Å, 2θ 41.20, rel. 40
1.951 Å, 2θ 46.56, rel. 26
1.751 Å, 2θ 52.24, rel. 15
1.704 Å, 2θ 53.79, rel. 27
1.457 Å, 2θ 63.90, rel. 21

---

Entry 4:
# ErSiPt
Computed powder XRD pattern, Cu Ka. Input: a cell relaxed with PBE.
Kinematic intensities with the Lorentz-polarization factor, no thermal factor.

Atomic structure:
a b c (Å): 6.9428 4.2696 7.4535
angles (deg): 90.00 90.00 90.00
Element x y z (fractional)
Er  0.0029  0.2500  0.2009
Er  0.4971  0.7500  0.7009
Er  0.5029  0.2500  0.2991
Er  0.9971  0.7500  0.7991
Si  0.1884  0.2500  0.5889
Si  0.3116  0.7500  0.0889
Si  0.6884  0.2500  0.9111
Si  0.8116  0.7500  0.4111
Pt  0.1995  0.7500  0.4151
Pt  0.3005  0.2500  0.9151
Pt  0.6995  0.7500  0.0849
Pt  0.8005  0.2500  0.5849

Peak list (10 most intense, 15° ≤ 2θ ≤ 90°, in order of rising 2θ)
3.284 Å, 2θ 27.16, rel. 29
3.269 Å, 2θ 27.28, rel. 58
2.603 Å, 2θ 34.46, rel. 44
2.540 Å, 2θ 35.34, rel. 39
2.533 Å, 2θ 35.44, rel. 100
2.210 Å, 2θ 40.83, rel. 24
2.147 Å, 2θ 42.08, rel. 52
2.135 Å, 2θ 42.34, rel. 37
1.634 Å, 2θ 56.29, rel. 21
1.374 Å, 2θ 68.25, rel. 23

---

Entry 5:
# KReAg3S4
Computed powder XRD pattern, Cu Ka. Input: a cell relaxed with PBE.
Kinematic intensities with the Lorentz-polarization factor, no thermal factor.

Atomic structure:
a b c (Å): 6.2662 6.2662 6.2662
angles (deg): 90.00 90.00 90.00
Element x y z (fractional)
K  0.0000  0.0000  0.0000
Re  0.5000  0.5000  0.5000
Ag  0.0000  0.5000  0.5000
Ag  0.5000  0.0000  0.5000
Ag  0.5000  0.5000  0.0000
S  0.2880  0.2880  0.2880
S  0.2880  0.7120  0.7120
S  0.7120  0.2880  0.7120
S  0.7120  0.7120  0.2880

Peak list (10 most intense, 15° ≤ 2θ ≤ 90°, in order of rising 2θ)
4.431 Å, 2θ 20.04, rel. 20
3.618 Å, 2θ 24.61, rel. 32
3.133 Å, 2θ 28.49, rel. 59
2.802 Å, 2θ 31.94, rel. 46
2.215 Å, 2θ 40.73, rel. 100
2.089 Å, 2θ 43.32, rel. 33
1.809 Å, 2θ 50.45, rel. 18
1.738 Å, 2θ 52.67, rel. 23
1.401 Å, 2θ 66.76, rel. 25
1.279 Å, 2θ 74.13, rel. 28

---

Entry 6:
# Li2HfMgSn2Ir2
Computed powder XRD pattern, Cu Ka. Input: a cell relaxed with PBE.
Kinematic intensities with the Lorentz-polarization factor, no thermal factor.

Atomic structure:
a b c (Å): 4.5506 4.5506 6.5036
angles (deg): 90.00 90.00 90.00
Element x y z (fractional)
Li  0.0000  0.5000  0.2329
Li  0.5000  0.0000  0.7671
Hf  0.0000  0.0000  0.5000
Mg  0.5000  0.5000  0.0000
Sn  0.0000  0.0000  0.0000
Sn  0.5000  0.5000  0.5000
Ir  0.0000  0.5000  0.7361
Ir  0.5000  0.0000  0.2639

Peak list (10 most intense, 15° ≤ 2θ ≤ 90°, in order of rising 2θ)
3.729 Å, 2θ 23.87, rel. 72
2.287 Å, 2θ 39.39, rel. 100
2.275 Å, 2θ 39.61, rel. 50
1.957 Å, 2θ 46.40, rel. 12
1.942 Å, 2θ 46.77, rel. 25
1.609 Å, 2θ 57.26, rel. 17
1.484 Å, 2θ 62.61, rel. 10
1.323 Å, 2θ 71.29, rel. 17
1.316 Å, 2θ 71.72, rel. 35
1.144 Å, 2θ 84.77, rel. 11

---

Entry 7:
# U2B6Os
Computed powder XRD pattern, Cu Ka. Input: a cell relaxed with PBE.
Kinematic intensities with the Lorentz-polarization factor, no thermal factor.

Atomic structure:
a b c (Å): 9.3097 11.3812 3.5884
angles (deg): 90.00 90.00 90.00
Element x y z (fractional)
U  0.0434  0.1045  0.0000
U  0.1625  0.4073  0.0000
U  0.3375  0.9073  0.0000
U  0.4566  0.6045  0.0000
U  0.5434  0.3955  0.0000
U  0.6625  0.0927  0.0000
U  0.8375  0.5927  0.0000
U  0.9566  0.8955  0.0000
B  0.0150  0.2810  0.5000
B  0.0494  0.5665  0.5000
B  0.1443  0.9600  0.5000
B  0.1458  0.8116  0.5000
B  0.1941  0.2276  0.5000
B  0.2426  0.5763  0.5000
B  0.2574  0.0763  0.5000
B  0.3059  0.7276  0.5000
B  0.3542  0.3116  0.5000
B  0.3557  0.4600  0.5000
B  0.4506  0.0665  0.5000
B  0.4850  0.7810  0.5000
B  0.5150  0.2190  0.5000
B  0.5494  0.9335  0.5000
B  0.6443  0.5400  0.5000
B  0.6458  0.6884  0.5000
B  0.6941  0.2724  0.5000
B  0.7426  0.9237  0.5000
B  0.7574  0.4237  0.5000
B  0.8059  0.7724  0.5000
B  0.8542  0.1884  0.5000
B  0.8557  0.0400  0.5000
B  0.9506  0.4335  0.5000
B  0.9850  0.7190  0.5000
Os  0.1452  0.6798  0.0000
Os  0.3548  0.1798  0.0000
Os  0.6452  0.8202  0.0000
Os  0.8548  0.3202  0.0000

Peak list (10 most intense, 15° ≤ 2θ ≤ 90°, in order of rising 2θ)
3.588 Å, 2θ 24.81, rel. 100
2.994 Å, 2θ 29.84, rel. 50
2.941 Å, 2θ 30.40, rel. 40
2.845 Å, 2θ 31.44, rel. 24
2.722 Å, 2θ 32.90, rel. 29
2.299 Å, 2θ 39.19, rel. 58
2.275 Å, 2θ 39.62, rel. 47
2.229 Å, 2θ 40.46, rel. 27
2.169 Å, 2θ 41.64, rel. 34
1.794 Å, 2θ 50.89, rel. 20

---

Entry 8:
# Lu4In3Mo2C3
Computed powder XRD pattern, Cu Ka. Input: a cell relaxed with PBE.
Kinematic intensities with the Lorentz-polarization factor, no thermal factor.

Atomic structure:
a b c (Å): 5.8285 5.8285 15.1917
angles (deg): 101.29 101.29 60.52
Element x y z (fractional)
Lu  0.0416  0.1862  0.0896
Lu  0.1261  0.3031  0.4103
Lu  0.1862  0.0416  0.5896
Lu  0.3031  0.1261  0.9103
Lu  0.6969  0.8739  0.0897
Lu  0.8138  0.9584  0.4104
Lu  0.8739  0.6969  0.5897
Lu  0.9584  0.8138  0.9104
In  0.1287  0.8713  0.2500
In  0.2863  0.4200  0.7525
In  0.4200  0.2863  0.2525
In  0.5800  0.7137  0.7475
In  0.7137  0.5800  0.2475
In  0.8713  0.1287  0.7500
Mo  0.3474  0.5225  0.0676
Mo  0.4775  0.6526  0.4324
Mo  0.5225  0.3474  0.5676
Mo  0.6526  0.4775  0.9324
C  0.0000  0.5000  0.0000
C  0.1908  0.6548  0.5000
C  0.3452  0.8092  0.0000
C  0.5000  0.0000  0.5000
C  0.6548  0.1908  0.0000
C  0.8092  0.3452  0.5000

Peak list (10 most intense, 15° ≤ 2θ ≤ 90°, in order of rising 2θ)
2.937 Å, 2θ 30.44, rel. 23
2.914 Å, 2θ 30.68, rel. 45
2.523 Å, 2θ 35.58, rel. 99
2.514 Å, 2θ 35.71, rel. 100
2.503 Å, 2θ 35.87, rel. 96
2.466 Å, 2θ 36.43, rel. 57
1.888 Å, 2θ 48.20, rel. 29
1.691 Å, 2θ 54.24, rel. 38
1.435 Å, 2θ 65.00, rel. 29
1.396 Å, 2θ 67.03, rel. 31